(1)
K2AsAuI6: simulated powder X-ray diffraction pattern (a wavelength of 1.5418 Å), based on a cell relaxed with PBE.
Neutral-atom scattering factors, no anomalous dispersion.

Main lines, by angle (5 to 70 degrees two-theta):
2θ (°)	I_rel
14.81	60.5
20.75	27.6
24.73	100.0
25.17	50.1
26.00	31.3
29.87	35.4
32.99	30.8
39.15	29.7

Structure:
Cell lengths 8.357, 8.363, 8.563 Å; angles 60.81, 60.84, 60.10 degrees
Fractional coordinates of all 10 atoms:
K 0.000 0.000 0.000
K 0.483 0.484 0.547
As 0.718 0.717 0.846
Au 0.294 0.292 0.119
I 0.019 0.865 0.639
I 0.375 0.560 0.135
I 0.476 0.018 0.639
I 0.561 0.928 0.136
I 0.865 0.476 0.639
I 0.928 0.376 0.136



(2)
Tl2AsAuI6: simulated powder X-ray diffraction pattern (a wavelength of 1.5418 Å), based on a cell relaxed with PBE.
Neutral-atom scattering factors, no anomalous dispersion.

Main lines, by angle (5 to 70 degrees two-theta):
2θ (°)	I_rel
22.20	84.4
23.92	53.5
25.23	38.5
26.74	63.5
27.40	100.0
30.30	67.9
31.08	43.3
36.84	54.5

Structure:
Cell lengths 8.129, 12.636, 10.363 Å; angles 90.00, 127.30, 90.00 degrees
Fractional coordinates of all 20 atoms:
Tl 0.190 0.161 0.264
Tl 0.190 0.339 0.764
Tl 0.810 0.661 0.236
Tl 0.810 0.839 0.736
As 0.500 0.000 0.000
As 0.500 0.500 0.500
Au 0.000 0.000 0.500
Au 0.000 0.500 0.000
I 0.114 0.094 0.897
I 0.114 0.406 0.397
I 0.314 0.706 0.404
I 0.314 0.794 0.904
I 0.392 0.042 0.677
I 0.392 0.458 0.177
I 0.608 0.542 0.823
I 0.608 0.958 0.323
I 0.686 0.206 0.096
I 0.686 0.294 0.596
I 0.886 0.594 0.603
I 0.886 0.906 0.103



(3)
In2AsAu: simulated powder X-ray diffraction pattern (a wavelength of 1.5418 Å), based on a cell relaxed with PBE.
Neutral-atom scattering factors, no anomalous dispersion.

Main lines, by angle (5 to 70 degrees two-theta):
2θ (°)	I_rel
19.61	41.1
29.05	100.0
33.38	54.2
40.11	32.7
41.48	65.7
44.83	61.3
53.14	28.6
57.32	20.5

Structure:
Cell lengths 4.496, 4.994, 4.994 Å; angles 65.02, 90.00, 90.00 degrees
Fractional coordinates of all 4 atoms:
In 0.000 0.000 0.000
In 0.500 0.383 0.383
As 0.000 0.612 0.612
Au 0.500 0.788 0.788



(4)
InAsAu2: simulated powder X-ray diffraction pattern (a wavelength of 1.5418 Å), based on a cell relaxed with PBE.
Neutral-atom scattering factors, no anomalous dispersion.

Main lines, by angle (5 to 70 degrees two-theta):
2θ (°)	I_rel
22.52	34.5
26.43	18.0
30.17	72.0
34.47	100.0
37.06	50.9
42.82	63.1
48.50	39.0
49.87	23.0

Structure:
Cell lengths 3.951, 4.851, 4.695 Å; angles 90.00, 92.32, 90.00 degrees
Fractional coordinates of all 4 atoms:
In 0.000 0.000 0.000
As 0.416 0.500 0.704
Au 0.495 0.000 0.503
Au 0.689 0.500 0.210